No. 1
For NpIrPt, a structure optimized by DFT (PBE) gives the theoretical powder diffractogram in this record (Cu Ka).

Top 6 peaks for 2θ = 15–90°, low angle first:
33.28°, I 45
39.09°, I 100
39.25°, I 36
39.54°, I 69
40.80°, I 38
69.87°, I 39

Cell and atoms:
Cell: 5.3192 5.4280 7.6328 Å, 90.00 90.00 90.00°
Sites, in units of the cell vectors:
Np1 0.0000 0.2500 0.1286
Np2 0.0000 0.7500 0.8714
Np3 0.5000 0.2500 0.3714
Np4 0.5000 0.7500 0.6286
Ir1 0.0000 0.0000 0.5000
Ir2 0.0000 0.5000 0.5000
Ir3 0.5000 0.0000 0.0000
Ir4 0.5000 0.5000 0.0000
Pt1 0.2500 0.2500 0.7500
Pt2 0.2500 0.7500 0.2500
Pt3 0.7500 0.2500 0.7500
Pt4 0.7500 0.7500 0.2500

No. 2
For Sm2BeNiPt6, a structure optimized by DFT (PBE) gives the theoretical powder diffractogram in this record (Cu Ka).

Top 6 peaks for 2θ = 15–90°, low angle first:
26.53°, I 53
28.73°, I 29
34.54°, I 26
37.93°, I 86
38.03°, I 43
41.12°, I 100

Cell and atoms:
Cell: 5.6292 5.6292 7.4526 Å, 111.98 111.98 60.09°
Sites, in units of the cell vectors:
Sm1 0.2070 0.2070 0.1215
Sm2 0.7930 0.7930 0.8785
Be1 0.0000 0.0000 0.5000
Ni1 0.5000 0.5000 0.0000
Pt1 0.2412 0.2412 0.7100
Pt2 0.2420 0.7273 0.7095
Pt3 0.2727 0.7580 0.2905
Pt4 0.7273 0.2420 0.7095
Pt5 0.7580 0.2727 0.2905
Pt6 0.7588 0.7588 0.2900

No. 3
For SrCu3S3, a structure optimized by DFT (PBE) gives the theoretical powder diffractogram in this record (Cu Ka).

Top 6 peaks for 2θ = 15–90°, low angle first:
21.27°, I 35
30.06°, I 43
31.95°, I 66
32.15°, I 100
37.12°, I 40
53.63°, I 33

Cell and atoms:
Cell: 9.6385 3.7756 9.6470 Å, 90.00 119.95 90.00°
Sites, in units of the cell vectors:
Sr1 0.1663 0.2500 0.3330
Sr2 0.8337 0.7500 0.6670
Cu1 0.1806 0.2500 0.7008
Cu2 0.2014 0.7500 0.0205
Cu3 0.4795 0.7500 0.6804
Cu4 0.5205 0.2500 0.3196
Cu5 0.7986 0.2500 0.9795
Cu6 0.8194 0.7500 0.2992
S1 0.1006 0.2500 0.8801
S2 0.2201 0.7500 0.5999
S3 0.3799 0.7500 0.2796
S4 0.6201 0.2500 0.7204
S5 0.7799 0.2500 0.4001
S6 0.8994 0.7500 0.1199

No. 4
For K4In2Au5, a structure optimized by DFT (PBE) gives the theoretical powder diffractogram in this record (Cu Ka).

Top 6 peaks for 2θ = 15–90°, low angle first:
15.27°, I 50
23.98°, I 40
30.28°, I 100
32.52°, I 48
39.15°, I 74
42.06°, I 29

Cell and atoms:
Cell: 12.2590 12.2590 12.2590 Å, 133.31 55.42 151.85°
Sites, in units of the cell vectors:
K1 0.0549 0.7200 0.7749
K2 0.1452 0.1142 0.2594
K3 0.3548 0.6142 0.9690
K4 0.4451 0.2200 0.6652
K5 0.5549 0.7800 0.3348
K6 0.6452 0.3858 0.0310
K7 0.8548 0.8858 0.7406
K8 0.9451 0.2800 0.2251
In1 0.0414 0.7500 0.2914
In2 0.4586 0.7500 0.7086
In3 0.5414 0.2500 0.2914
In4 0.9586 0.2500 0.7086
Au1 0.0977 0.4221 0.5197
Au2 0.2224 0.7830 0.0054
Au3 0.2500 0.2500 0.0000
Au4 0.2776 0.2830 0.5606
Au5 0.4023 0.9221 0.3244
Au6 0.5977 0.0779 0.6756
Au7 0.7224 0.7170 0.4394
Au8 0.7500 0.7500 0.0000
Au9 0.7776 0.2170 0.9946
Au10 0.9023 0.5779 0.4803